AlNi2B2O6: simulated PXRD pattern (Cu Kα X-rays), based on a GGA+U-relaxed structure.

Top 10 peaks for 10 to 80 degrees two-theta, low angle first:
| (hkl) | two_theta | intensity |
| --- | --- | --- |
| 1 0 0 | 21.46 | 25 |
| 0 1 1 | 26.98 | 100 |
| 0 0 2 | 32.65 | 29 |
| 1 1 0 | 37.63 | 47 |
| 1 0 2 | 39.41 | 84 |
| 1 1 1 | 41.20 | 27 |
| 2 0 1 | 46.91 | 53 |
| 3 -2 1 | 61.64 | 29 |
| 1 1 3 | 64.13 | 33 |
| 3 -1 2 | 69.11 | 24 |

Structural model:
```
data_AlNi2B2O6
_cell_length_a 4.7807
_cell_length_b 4.7807
_cell_length_c 5.4851
_cell_angle_alpha 90.00
_cell_angle_beta 90.00
_cell_angle_gamma 120.00
_space_group_name_H-M_alt 'P -3'
_space_group_IT_number 147
loop_
_space_group_symop_operation_xyz
'x,y,z'
'-x,-y,-z'
'-y,x-y,z'
'y,-x+y,-z'
'-x+y,-x,z'
'x-y,x,-z'
loop_
_atom_site_label
_atom_site_type_symbol
_atom_site_fract_x
_atom_site_fract_y
_atom_site_fract_z
Al1 Al 0.0000 0.0000 0.0000
Ni1 Ni 0.3333 0.6667 0.3282
B1 B 0.3333 0.6667 0.7997
O1 O 0.0692 0.7128 0.7939
```